Diffraction record for SrZn2P2. The X-ray powder pattern is theoretical, not measured: it uses a structure optimized by DFT (GGA-PBE) and Cu Kα X-rays.

a b c (Å): 7.106 7.106 7.105
angles (deg): 90.00 90.00 120.00
Atoms (fractional coordinates):
Sr 0.000 0.000 0.000
Sr 0.333 0.667 0.000
Sr 0.667 0.333 0.000
Zn 0.003 0.668 0.370
Zn 0.332 0.335 0.370
Zn 0.335 0.003 0.630
Zn 0.665 0.997 0.370
Zn 0.668 0.665 0.630
Zn 0.997 0.332 0.630
P 0.001 0.667 0.726
P 0.333 0.334 0.726
P 0.334 0.001 0.274
P 0.666 0.999 0.726
P 0.667 0.666 0.274
P 0.999 0.333 0.274

Largest 12 diffraction maxima, by angle, 2θ = 15–90°:
Position (°2θ)	I_rel
28.1	100
35.7	65
38.0	17
44.2	56
46.1	19
53.1	16
58.1	26
59.6	27
71.5	20
75.7	18
81.2	9
82.6	10



Diffraction record for TbTc4P2. The X-ray powder pattern is theoretical, not measured: it uses a structure optimized by DFT (GGA-PBE) and Cu Kα X-rays.

a b c (Å): 7.073 7.073 4.010
angles (deg): 90.00 90.00 146.72
Atoms (fractional coordinates):
Tb 0.000 0.000 0.000
Tc 0.183 0.817 0.500
Tc 0.309 0.691 0.000
Tc 0.691 0.309 0.000
Tc 0.817 0.183 0.500
P 0.414 0.586 0.500
P 0.586 0.414 0.500

Largest 12 diffraction maxima, by angle, 2θ = 15–90°:
Position (°2θ)	I_rel
22.9	8
29.6	7
34.7	12
37.3	100
39.9	11
44.7	21
45.2	20
46.2	13
61.9	9
65.5	13
77.5	11
78.2	11



Diffraction record for TcP4. The X-ray powder pattern is theoretical, not measured: it uses a structure optimized by DFT (GGA-PBE) and Cu Kα X-rays.

a b c (Å): 6.266 9.261 10.898
angles (deg): 90.00 90.00 90.00
Atoms (fractional coordinates):
Tc 0.121 0.109 0.075
Tc 0.121 0.391 0.575
Tc 0.379 0.609 0.075
Tc 0.379 0.891 0.575
Tc 0.621 0.109 0.425
Tc 0.621 0.391 0.925
Tc 0.879 0.609 0.425
Tc 0.879 0.891 0.925
P 0.001 0.708 0.069
P 0.001 0.792 0.569
P 0.059 0.219 0.736
P 0.059 0.281 0.236
P 0.190 0.553 0.738
P 0.190 0.947 0.238
P 0.244 0.544 0.419
P 0.244 0.956 0.919
P 0.256 0.044 0.419
P 0.256 0.456 0.919
P 0.310 0.053 0.738
P 0.310 0.447 0.238
P 0.441 0.719 0.736
P 0.441 0.781 0.236
P 0.499 0.208 0.069
P 0.499 0.292 0.569
P 0.501 0.708 0.431
P 0.501 0.792 0.931
P 0.559 0.219 0.764
P 0.559 0.281 0.264
P 0.690 0.553 0.762
P 0.690 0.947 0.262
P 0.744 0.544 0.081
P 0.744 0.956 0.581
P 0.756 0.044 0.081
P 0.756 0.456 0.581
P 0.810 0.053 0.762
P 0.810 0.447 0.262
P 0.941 0.719 0.764
P 0.941 0.781 0.264
P 0.999 0.208 0.431
P 0.999 0.292 0.931

Largest 12 diffraction maxima, by angle, 2θ = 15–90°:
Position (°2θ)	I_rel
18.9	45
25.3	24
30.1	22
31.3	100
34.6	20
36.4	18
39.2	12
44.4	18
46.8	18
48.4	14
50.2	17
55.4	14



Diffraction record for TcP. The X-ray powder pattern is theoretical, not measured: it uses a structure optimized by DFT (GGA-PBE) and Cu Kα X-rays.

a b c (Å): 6.132 6.132 6.132
angles (deg): 150.49 150.49 42.22
Atoms (fractional coordinates):
Tc 0.000 0.000 0.000
Tc 0.750 0.250 0.500
P 0.162 0.662 0.500
P 0.412 0.412 0.000

Largest 12 diffraction maxima, by angle, 2θ = 15–90°:
Position (°2θ)	I_rel
29.7	63
31.3	35
37.2	68
44.0	100
49.4	43
59.2	25
64.3	18
64.6	12
67.6	12
68.5	14
72.0	19
80.6	20



Diffraction record for TmTc4P2. The X-ray powder pattern is theoretical, not measured: it uses a structure optimized by DFT (GGA-PBE) and Cu Kα X-rays.

a b c (Å): 7.011 7.011 4.000
angles (deg): 90.00 90.00 146.48
Atoms (fractional coordinates):
Tm 0.000 0.000 0.000
Tc 0.182 0.818 0.500
Tc 0.310 0.690 0.000
Tc 0.690 0.310 0.000
Tc 0.818 0.182 0.500
P 0.415 0.585 0.500
P 0.585 0.415 0.500

Largest 12 diffraction maxima, by angle, 2θ = 15–90°:
Position (°2θ)	I_rel
23.0	9
34.9	12
37.5	100
40.3	17
44.8	20
45.3	20
46.5	14
58.0	11
62.3	9
65.7	13
77.8	13
78.5	11



Diffraction record for TlP5W3. The X-ray powder pattern is theoretical, not measured: it uses a structure optimized by DFT (GGA-PBE) and Cu Kα X-rays.

a b c (Å): 5.350 5.350 7.640
angles (deg): 90.00 90.00 120.00
Atoms (fractional coordinates):
Tl 0.000 0.000 0.000
P 0.000 0.000 0.500
P 0.333 0.667 0.239
P 0.333 0.667 0.761
P 0.667 0.333 0.239
P 0.667 0.333 0.761
W 0.000 0.500 0.500
W 0.500 0.000 0.500
W 0.500 0.500 0.500

Largest 12 diffraction maxima, by angle, 2θ = 15–90°:
Position (°2θ)	I_rel
22.4	100
23.3	54
35.6	34
38.9	53
40.4	25
40.7	26
45.8	91
47.6	15
53.7	20
63.1	26
87.4	15
89.4	16



Diffraction record for Y2TmP3. The X-ray powder pattern is theoretical, not measured: it uses a structure optimized by DFT (GGA-PBE) and Cu Kα X-rays.

a b c (Å): 3.990 3.990 9.766
angles (deg): 90.00 90.00 120.00
Atoms (fractional coordinates):
Y 0.333 0.667 0.332
Y 0.667 0.333 0.668
Tm 0.000 0.000 0.000
P 0.000 0.000 0.500
P 0.333 0.667 0.837
P 0.667 0.333 0.163

Largest 12 diffraction maxima, by angle, 2θ = 15–90°:
Position (°2θ)	I_rel
18.2	4
25.8	5
27.4	67
31.7	100
38.0	4
45.5	71
53.9	31
56.5	25
66.3	11
73.1	13
75.3	31
84.0	24



Diffraction record for YUP2. The X-ray powder pattern is theoretical, not measured: it uses a structure optimized by DFT (GGA-PBE) and Cu Kα X-rays.

a b c (Å): 3.836 3.836 8.539
angles (deg): 90.00 90.00 120.00
Atoms (fractional coordinates):
Y 0.000 0.000 0.000
U 0.667 0.333 0.500
P 0.000 0.000 0.314
P 0.000 0.000 0.686

Largest 12 diffraction maxima, by angle, 2θ = 15–90°:
Position (°2θ)	I_rel
20.8	38
26.8	34
28.8	100
34.2	39
41.8	56
47.4	26
52.3	21
56.4	16
65.0	15
65.4	14
76.7	13
84.3	16



Diffraction record for PW3. The X-ray powder pattern is theoretical, not measured: it uses a structure optimized by DFT (GGA-PBE) and Cu Kα X-rays.

a b c (Å): 7.392 7.392 7.392
angles (deg): 96.19 96.19 141.66
Atoms (fractional coordinates):
P 0.000 0.292 0.292
P 0.000 0.708 0.708
P 0.292 0.000 0.292
P 0.708 0.000 0.708
W 0.028 0.028 0.601
W 0.146 0.500 0.646
W 0.174 0.362 0.000
W 0.362 0.174 0.000
W 0.427 0.427 0.399
W 0.500 0.146 0.646
W 0.500 0.854 0.354
W 0.573 0.972 0.000
W 0.638 0.638 0.812
W 0.826 0.826 0.188
W 0.854 0.500 0.354
W 0.972 0.573 0.000

Largest 12 diffraction maxima, by angle, 2θ = 15–90°:
Position (°2θ)	I_rel
32.9	34
37.7	92
38.7	41
39.3	54
40.9	28
42.1	100
45.5	24
60.1	18
67.0	22
67.2	19
70.2	16
72.3	16



Diffraction record for PW3. The X-ray powder pattern is theoretical, not measured: it uses a structure optimized by DFT (GGA-PBE) and Cu Kα X-rays.

a b c (Å): 7.394 7.394 7.394
angles (deg): 96.20 96.20 141.63
Atoms (fractional coordinates):
P 0.001 0.708 0.709
P 0.292 0.001 0.293
P 0.708 0.999 0.707
P 0.999 0.292 0.291
W 0.028 0.026 0.600
W 0.146 0.500 0.645
W 0.174 0.362 0.000
W 0.362 0.174 0.000
W 0.426 0.427 0.400
W 0.500 0.146 0.646
W 0.500 0.854 0.354
W 0.573 0.972 0.999
W 0.638 0.638 0.812
W 0.826 0.826 0.188
W 0.854 0.500 0.355
W 0.974 0.574 0.001

Largest 12 diffraction maxima, by angle, 2θ = 15–90°:
Position (°2θ)	I_rel
32.9	34
37.7	92
38.7	41
39.3	54
40.9	28
42.1	100
45.5	25
60.1	18
67.0	22
67.1	19
70.1	16
72.3	16



Diffraction record for ZrZnP3. The X-ray powder pattern is theoretical, not measured: it uses a structure optimized by DFT (GGA-PBE) and Cu Kα X-rays.

a b c (Å): 12.357 12.357 3.512
angles (deg): 90.00 90.00 161.61
Atoms (fractional coordinates):
Zr 0.197 0.803 0.000
Zr 0.803 0.197 0.000
Zn 0.379 0.621 0.500
Zn 0.621 0.379 0.500
P 0.048 0.952 0.500
P 0.284 0.716 0.500
P 0.453 0.547 0.000
P 0.547 0.453 0.000
P 0.716 0.284 0.500
P 0.952 0.048 0.500

Largest 12 diffraction maxima, by angle, 2θ = 15–90°:
Position (°2θ)	I_rel
29.1	40
29.3	19
34.3	14
36.0	100
39.1	27
44.6	18
46.0	24
48.3	31
52.1	16
61.9	13
65.9	10
72.0	12



Diffraction record for Zr3P2. The X-ray powder pattern is theoretical, not measured: it uses a structure optimized by DFT (GGA-PBE) and Cu Kα X-rays.

a b c (Å): 10.291 3.674 9.949
angles (deg): 90.00 90.00 90.00
Atoms (fractional coordinates):
Zr 0.046 0.250 0.127
Zr 0.122 0.750 0.564
Zr 0.218 0.250 0.798
Zr 0.282 0.750 0.298
Zr 0.378 0.250 0.064
Zr 0.454 0.750 0.627
Zr 0.546 0.250 0.373
Zr 0.622 0.750 0.936
Zr 0.718 0.250 0.702
Zr 0.782 0.750 0.202
Zr 0.878 0.250 0.436
Zr 0.954 0.750 0.873
P 0.024 0.750 0.319
P 0.193 0.750 0.000
P 0.307 0.250 0.500
P 0.476 0.250 0.819
P 0.524 0.750 0.181
P 0.693 0.750 0.500
P 0.807 0.250 0.000
P 0.976 0.250 0.681

Largest 12 diffraction maxima, by angle, 2θ = 15–90°:
Position (°2θ)	I_rel
27.3	52
31.2	76
31.7	69
35.0	53
36.1	41
36.5	93
37.0	47
37.2	44
37.6	37
40.3	100
44.9	29
49.6	46